1.
Diffraction record for Ac2TaHN3. The powder diffraction line list is computed, not measured: it uses a structure optimized by DFT (PBE) and Cu Kα (weighted mean of Kα1 and Kα2).
Intensities are scaled so that the largest is 100.

Structural model:
```
Ac2TaHN3
1.0
3.852 0.000 0.000
0.000 4.193 0.000
0.000 0.000 13.501
Ac Ta H N
4 2 2 6
direct
0.000 0.000 0.147
0.000 0.000 0.853
0.500 0.500 0.353
0.500 0.500 0.647
0.000 0.000 0.500
0.500 0.500 0.000
0.000 0.500 0.000
0.500 0.000 0.500
0.000 0.000 0.344
0.000 0.000 0.656
0.000 0.500 0.500
0.500 0.000 0.000
0.500 0.500 0.156
0.500 0.500 0.844
```

Most intense lines, 2θ = 5–70°, low angle first:
hkl 0 1 3, 2θ = 29.11°, rel. 93; hkl 1 0 3, 2θ = 30.55°, rel. 90; hkl 1 1 0, 2θ = 31.54°, rel. 100; hkl 1 1 6, 2θ = 51.87°, rel. 34; hkl 1 2 3, 2θ = 53.79°, rel. 39; hkl 2 1 3, 2θ = 56.41°, rel. 31



2.
Diffraction record for Ac2UH3N3. The powder diffraction line list is computed, not measured: it uses a structure optimized by DFT (PBE) and Cu Kα (weighted mean of Kα1 and Kα2).
Intensities are scaled so that the largest is 100.

Structural model:
```
Ac2UH3N3
1.0
6.197 0.000 0.000
-3.099 5.367 0.000
0.000 0.000 3.729
Ac U H N
2 1 3 3
direct
0.333 0.667 0.000
0.667 0.333 0.000
0.000 0.000 0.500
0.000 0.216 0.000
0.216 0.000 0.000
0.784 0.784 0.000
0.000 0.660 0.500
0.340 0.340 0.500
0.660 0.000 0.500
```

Most intense lines, 2θ = 5–70°, low angle first:
hkl 1 1 0, 2θ = 28.81°, rel. 100; hkl 1 0 1, 2θ = 29.16°, rel. 92; hkl 2 0 1, 2θ = 41.46°, rel. 37; hkl 3 0 0, 2θ = 51.05°, rel. 25; hkl 2 1 1, 2θ = 51.27°, rel. 41; hkl 1 1 2, 2θ = 57.70°, rel. 30



3.
Diffraction record for Na2AcH8Pt. The powder diffraction line list is computed, not measured: it uses a structure optimized by DFT (PBE) and Cu Kα (weighted mean of Kα1 and Kα2).
Intensities are scaled so that the largest is 100.

Structural model:
```
Na2AcH8Pt
1.0
4.771 0.000 0.000
-2.385 4.132 0.000
0.000 0.000 6.917
Na Ac H Pt
2 1 8 1
direct
0.333 0.667 0.362
0.667 0.333 0.638
0.000 0.000 0.000
0.161 0.321 0.652
0.161 0.839 0.652
0.321 0.161 0.348
0.333 0.667 0.041
0.667 0.333 0.959
0.679 0.839 0.652
0.839 0.161 0.348
0.839 0.679 0.348
0.000 0.000 0.500
```

Most intense lines, 2θ = 5–70°, low angle first:
hkl 1 0 0, 2θ = 21.51°, rel. 100; hkl 0 0 2, 2θ = 25.76°, rel. 23; hkl 1 0 2, 2θ = 33.80°, rel. 75; hkl 1 1 0, 2θ = 37.71°, rel. 34; hkl 1 1 2, 2θ = 46.23°, rel. 30; hkl 0 2 2, 2θ = 51.53°, rel. 24